No. 1
The following is a computed X-ray diffraction stick pattern of Ta3Nb2Fe2. It was derived from a crystal structure in Alexandria, relaxed with GGA-PBE, using Cu Kα (weighted mean of Kα1 and Kα2).

Top 8 peaks for 2θ = 10–80°, sorted by position:
| 2θ (°) | I (rel.) |
| --- | --- |
| 28.39 | 17 |
| 32.10 | 5 |
| 40.11 | 100 |
| 52.31 | 5 |
| 57.87 | 4 |
| 58.09 | 12 |
| 72.78 | 9 |
| 72.92 | 22 |

Crystal structure
a b c (Å): 3.1757 3.1757 22.3069
angles (deg): 90.00 90.00 90.00
Space group I4/mmm (No. 139)
Inequivalent atoms, fractional coordinates:
Ta: 0.0000 0.0000 0.0000 [2 per cell]
Ta: 0.0000 0.0000 0.1341 [4 per cell]
Nb: 0.0000 0.0000 0.2874 [4 per cell]
Fe: 0.0000 0.0000 0.4344 [4 per cell]

No. 2
The following is a computed X-ray diffraction stick pattern of Na4Ta3BiO12. It was derived from a crystal structure in Alexandria, relaxed with GGA-PBE, using Cu Kα (weighted mean of Kα1 and Kα2).

Top 8 peaks for 2θ = 10–80°, sorted by position:
| 2θ (°) | I (rel.) |
| --- | --- |
| 22.07 | 100 |
| 31.41 | 97 |
| 45.01 | 32 |
| 50.67 | 43 |
| 55.91 | 40 |
| 65.54 | 20 |
| 70.08 | 21 |
| 74.48 | 17 |

Crystal structure
a b c (Å): 8.0567 8.0567 8.0567
angles (deg): 90.00 90.00 90.00
Space group Im-3m (No. 229)
Inequivalent atoms, fractional coordinates:
Na: 0.2500 0.2500 0.2500 [8 per cell]
Ta: 0.0000 0.0000 0.5000 [6 per cell]
Bi: 0.0000 0.0000 0.0000 [2 per cell]
O: 0.0000 0.0000 0.2573 [12 per cell]
O: 0.0000 0.2500 0.5000 [12 per cell]

No. 3
The following is a computed X-ray diffraction stick pattern of Nd8SbTe4S3. It was derived from a crystal structure in Alexandria, relaxed with GGA-PBE, using Cu Kα (weighted mean of Kα1 and Kα2).

Top 8 peaks for 2θ = 10–80°, sorted by position:
| 2θ (°) | I (rel.) |
| --- | --- |
| 29.02 | 100 |
| 31.59 | 12 |
| 41.07 | 33 |
| 41.93 | 38 |
| 51.80 | 19 |
| 60.14 | 10 |
| 67.52 | 11 |
| 68.76 | 16 |

Crystal structure
a b c (Å): 8.6176 8.6176 21.7559
angles (deg): 90.00 90.00 120.00
Space group R-3m (No. 166, hexagonal axes)
Inequivalent atoms, fractional coordinates:
Nd: 0.0000 0.0000 0.2363 [6 per cell]
Nd: 0.0171 0.5086 0.7612 [18 per cell]
Sb: 0.0000 0.0000 0.5000 [3 per cell]
Te: 0.0000 0.0000 0.0000 [3 per cell]
Te: 0.0000 0.5000 0.0000 [9 per cell]
S: 0.0000 0.5000 0.5000 [9 per cell]

No. 4
The following is a computed X-ray diffraction stick pattern of KAl2In. It was derived from a crystal structure in Alexandria, relaxed with GGA-PBE, using Cu Kα (weighted mean of Kα1 and Kα2).

Top 8 peaks for 2θ = 10–80°, sorted by position:
| 2θ (°) | I (rel.) |
| --- | --- |
| 11.36 | 100 |
| 21.60 | 38 |
| 23.76 | 43 |
| 28.56 | 55 |
| 31.88 | 31 |
| 33.25 | 84 |
| 37.97 | 42 |
| 42.69 | 51 |

Crystal structure
a b c (Å): 9.1149 3.0718 7.8358
angles (deg): 90.00 96.20 90.00
Space group Cm (No. 8)
Inequivalent atoms, fractional coordinates:
K: 0.0000 0.0000 0.0000 [2 per cell]
Al: 0.0043 0.5000 0.5467 [2 per cell]
Al: 0.2379 0.0000 0.6820 [2 per cell]
In: 0.2632 0.5000 0.3299 [2 per cell]

No. 5
The following is a computed X-ray diffraction stick pattern of Y7Cd2Ir2. It was derived from a crystal structure in Alexandria, relaxed with GGA-PBE, using Cu Kα (weighted mean of Kα1 and Kα2).

Top 8 peaks for 2θ = 10–80°, sorted by position:
| 2θ (°) | I (rel.) |
| --- | --- |
| 12.39 | 25 |
| 20.48 | 59 |
| 25.11 | 61 |
| 32.82 | 49 |
| 33.31 | 21 |
| 36.94 | 45 |
| 37.27 | 100 |
| 43.38 | 23 |

Crystal structure
a b c (Å): 8.1723 10.9154 7.1453
angles (deg): 90.00 90.00 90.00
Space group Cmmm (No. 65)
Inequivalent atoms, fractional coordinates:
Y: 0.0000 0.0000 0.0000 [2 per cell]
Y: 0.0000 0.5000 0.2432 [4 per cell]
Y: 0.2500 0.2500 0.2493 [8 per cell]
Cd: 0.1758 0.0000 0.5000 [4 per cell]
Ir: 0.0000 0.2867 0.0000 [4 per cell]

No. 6
The following is a computed X-ray diffraction stick pattern of Dy6Tl2Si. It was derived from a crystal structure in Alexandria, relaxed with GGA-PBE, using Cu Kα (weighted mean of Kα1 and Kα2).

Top 8 peaks for 2θ = 10–80°, sorted by position:
| 2θ (°) | I (rel.) |
| --- | --- |
| 30.54 | 100 |
| 32.37 | 53 |
| 32.95 | 49 |
| 36.85 | 38 |
| 39.42 | 23 |
| 44.64 | 26 |
| 56.21 | 22 |
| 59.59 | 24 |

Crystal structure
a b c (Å): 8.4503 8.4503 4.0596
angles (deg): 90.00 90.00 120.00
Space group P-62m (No. 189)
Inequivalent atoms, fractional coordinates:
Dy: 0.0000 0.3929 0.0000 [3 per cell]
Dy: 0.0000 0.7489 0.5000 [3 per cell]
Tl: 0.3333 0.6667 0.5000 [2 per cell]
Si: 0.0000 0.0000 0.0000 [1 per cell]

No. 7
The following is a computed X-ray diffraction stick pattern of K2CrWN4. It was derived from a crystal structure in Alexandria, relaxed with GGA-PBE, using Cu Kα (weighted mean of Kα1 and Kα2).

Top 8 peaks for 2θ = 10–80°, sorted by position:
| 2θ (°) | I (rel.) |
| --- | --- |
| 12.93 | 76 |
| 19.67 | 65 |
| 20.14 | 47 |
| 29.77 | 61 |
| 30.05 | 74 |
| 30.45 | 43 |
| 33.99 | 100 |
| 41.14 | 36 |

Crystal structure
a b c (Å): 6.0031 6.4997 6.8480
angles (deg): 90.00 90.00 90.00
Space group Pmmn (No. 59, origin choice 2)
Inequivalent atoms, fractional coordinates:
K: 0.2500 0.0010 0.2032 [4 per cell]
Cr: 0.2500 0.7500 0.6606 [2 per cell]
W: 0.2500 0.2500 0.6495 [2 per cell]
N: 0.0043 0.7500 0.5093 [4 per cell]
N: 0.2500 0.5023 0.7956 [4 per cell]

No. 8
The following is a computed X-ray diffraction stick pattern of Fe4RePt. It was derived from a crystal structure in Alexandria, relaxed with GGA-PBE, using Cu Kα (weighted mean of Kα1 and Kα2).

Top 8 peaks for 2θ = 10–80°, sorted by position:
| 2θ (°) | I (rel.) |
| --- | --- |
| 23.12 | 27 |
| 38.20 | 77 |
| 45.13 | 100 |
| 47.25 | 11 |
| 55.13 | 2 |
| 60.57 | 7 |
| 69.05 | 28 |
| 73.91 | 30 |

Crystal structure
a b c (Å): 6.6633 6.6633 6.6633
angles (deg): 90.00 90.00 90.00
Space group F-43m (No. 216)
Inequivalent atoms, fractional coordinates:
Fe: 0.1251 0.1251 0.1251 [16 per cell]
Re: 0.0000 0.0000 0.5000 [4 per cell]
Pt: 0.2500 0.2500 0.7500 [4 per cell]

No. 9
The following is a computed X-ray diffraction stick pattern of MgCrIr. It was derived from a crystal structure in Alexandria, relaxed with GGA-PBE, using Cu Kα (weighted mean of Kα1 and Kα2).

Top 8 peaks for 2θ = 10–80°, sorted by position:
| 2θ (°) | I (rel.) |
| --- | --- |
| 14.88 | 74 |
| 22.40 | 21 |
| 31.99 | 18 |
| 33.76 | 58 |
| 41.62 | 100 |
| 45.54 | 40 |
| 48.17 | 16 |
| 73.16 | 16 |

Crystal structure
a b c (Å): 2.8169 2.8169 23.8185
angles (deg): 90.00 90.00 90.00
Space group I4/mmm (No. 139)
Inequivalent atoms, fractional coordinates:
Mg: 0.0000 0.0000 0.0668 [4 per cell]
Cr: 0.0000 0.0000 0.2136 [4 per cell]
Ir: 0.0000 0.0000 0.3524 [4 per cell]

No. 10
The following is a computed X-ray diffraction stick pattern of CuSi2HgO. It was derived from a crystal structure in Alexandria, relaxed with GGA-PBE, using Cu Kα (weighted mean of Kα1 and Kα2).

Top 8 peaks for 2θ = 10–80°, sorted by position:
| 2θ (°) | I (rel.) |
| --- | --- |
| 16.48 | 61 |
| 22.48 | 37 |
| 32.00 | 38 |
| 33.31 | 38 |
| 36.20 | 100 |
| 45.89 | 31 |
| 46.86 | 26 |
| 57.88 | 30 |

Crystal structure
a b c (Å): 3.9551 3.9551 5.3797
angles (deg): 90.00 90.00 90.00
Space group P4/mmm (No. 123)
Inequivalent atoms, fractional coordinates:
Cu: 0.0000 0.0000 0.0000 [1 per cell]
Si: 0.0000 0.5000 0.5000 [2 per cell]
Hg: 0.5000 0.5000 0.0000 [1 per cell]
O: 0.5000 0.5000 0.5000 [1 per cell]

No. 11
The following is a computed X-ray diffraction stick pattern of CdSn5Au4. It was derived from a crystal structure in Alexandria, relaxed with GGA-PBE, using Cu Kα (weighted mean of Kα1 and Kα2).

Top 8 peaks for 2θ = 10–80°, sorted by position:
| 2θ (°) | I (rel.) |
| --- | --- |
| 20.46 | 24 |
| 22.22 | 29 |
| 31.95 | 100 |
| 33.61 | 29 |
| 41.08 | 33 |
| 42.43 | 43 |
| 42.60 | 42 |
| 54.09 | 18 |

Crystal structure
a b c (Å): 17.6233 4.3945 7.4677
angles (deg): 90.00 114.79 90.00
Space group C2/m (No. 12)
Inequivalent atoms, fractional coordinates:
Cd: 0.0000 0.0000 0.0000 [2 per cell]
Sn: 0.0000 0.0000 0.5000 [2 per cell]
Sn: 0.1707 0.5000 0.3922 [4 per cell]
Sn: 0.1711 0.5000 0.9517 [4 per cell]
Au: 0.9996 0.5000 0.2572 [4 per cell]
Au: 0.2105 0.0000 0.2112 [4 per cell]

No. 12
The following is a computed X-ray diffraction stick pattern of DyPuCo5. It was derived from a crystal structure in Alexandria, relaxed with GGA-PBE, using Cu Kα (weighted mean of Kα1 and Kα2).

Top 8 peaks for 2θ = 10–80°, sorted by position:
| 2θ (°) | I (rel.) |
| --- | --- |
| 28.21 | 43 |
| 31.89 | 65 |
| 36.68 | 72 |
| 36.95 | 41 |
| 38.42 | 100 |
| 38.75 | 57 |
| 43.84 | 47 |
| 45.49 | 93 |

Crystal structure
a b c (Å): 8.2880 4.8974 10.2718
angles (deg): 90.00 90.00 90.00
Space group Pnma (No. 62)
Inequivalent atoms, fractional coordinates:
Dy: 0.2434 0.2500 0.0681 [4 per cell]
Pu: 0.1303 0.2500 0.3744 [4 per cell]
Co: 0.0505 0.2500 0.6065 [4 per cell]
Co: 0.0657 0.7500 0.0139 [4 per cell]
Co: 0.0701 0.0014 0.8113 [8 per cell]
Co: 0.1888 0.7500 0.2381 [4 per cell]